# 1
# Ac12RuPt6
Simulated powder X-ray diffraction pattern, λ = 1.5418 Å (Cu Kα). Input: a cell relaxed with PBE.
Peak positions follow from Bragg's law for the DFT cell and can differ from measured ones.

Atomic structure:
Unit cell a=8.907 b=8.907 c=8.907 alpha=98.84 beta=98.84 gamma=98.84
Positions (direct):
Ac (0.044, 0.682, 0.918)
Ac (0.082, 0.956, 0.318)
Ac (0.179, 0.416, 0.583)
Ac (0.318, 0.082, 0.956)
Ac (0.416, 0.583, 0.179)
Ac (0.417, 0.821, 0.584)
Ac (0.583, 0.179, 0.416)
Ac (0.584, 0.417, 0.821)
Ac (0.682, 0.918, 0.044)
Ac (0.821, 0.584, 0.417)
Ac (0.918, 0.044, 0.682)
Ac (0.956, 0.318, 0.082)
Ru (0.000, 0.000, 0.000)
Pt (0.133, 0.618, 0.314)
Pt (0.314, 0.133, 0.618)
Pt (0.382, 0.686, 0.867)
Pt (0.618, 0.314, 0.133)
Pt (0.686, 0.867, 0.382)
Pt (0.867, 0.382, 0.686)

Largest 6 diffraction maxima, low angle first, 5 to 70 degrees two-theta:
2θ/deg  I_rel
21.2  604
24.4  481
28.8  460
30.8  507
34.5  915
35.1  1000

# 2
# Ac6RuPt2
Simulated powder X-ray diffraction pattern, λ = 1.5418 Å (Cu Kα). Input: a cell relaxed with PBE.
Peak positions follow from Bragg's law for the DFT cell and can differ from measured ones.

Atomic structure:
Unit cell a=7.270 b=7.874 c=12.698 alpha=90.00 beta=119.53 gamma=90.00
Positions (direct):
Ac (0.078, 0.055, 0.245)
Ac (0.078, 0.445, 0.745)
Ac (0.253, 0.684, 0.082)
Ac (0.253, 0.816, 0.582)
Ac (0.385, 0.183, 0.066)
Ac (0.385, 0.317, 0.566)
Ac (0.615, 0.683, 0.434)
Ac (0.615, 0.817, 0.934)
Ac (0.747, 0.184, 0.418)
Ac (0.747, 0.316, 0.918)
Ac (0.922, 0.555, 0.255)
Ac (0.922, 0.945, 0.755)
Ru (0.000, 0.000, 0.000)
Ru (0.000, 0.500, 0.500)
Pt (0.333, 0.113, 0.781)
Pt (0.333, 0.387, 0.281)
Pt (0.667, 0.613, 0.719)
Pt (0.667, 0.887, 0.219)

Largest 6 diffraction maxima, low angle first, 5 to 70 degrees two-theta:
2θ/deg  I_rel
27.7  768
28.2  1000
29.9  797
30.4  838
36.4  555
47.9  607

# 3
# Ac2PtS
Simulated powder X-ray diffraction pattern, λ = 1.5418 Å (Cu Kα). Input: a cell relaxed with PBE.
Peak positions follow from Bragg's law for the DFT cell and can differ from measured ones.

Atomic structure:
Unit cell a=4.275 b=4.275 c=15.544 alpha=90.00 beta=90.00 gamma=120.00
Positions (direct):
Ac (0.333, 0.667, 0.116)
Ac (0.333, 0.667, 0.384)
Ac (0.667, 0.333, 0.616)
Ac (0.667, 0.333, 0.884)
Pt (0.000, 0.000, 0.000)
Pt (0.000, 0.000, 0.500)
S (0.333, 0.667, 0.750)
S (0.667, 0.333, 0.250)

Largest 6 diffraction maxima, low angle first, 5 to 70 degrees two-theta:
2θ/deg  I_rel
11.4  540
24.7  664
26.7  374
29.7  1000
33.4  948
42.3  732